TaTi3In: calculated X-ray diffraction stick pattern (copper Kα), based on the GGA-PBE geometry in Alexandria.
Peak positions follow from Bragg's law for the DFT cell and can differ from measured ones.

The 12 most intense peaks (2θ = 10–80°), by angle:
2θ/deg	I (rel.)
12.98	14
19.53	14
22.91	31
38.11	100
38.48	77
39.44	38
54.51	12
56.01	26
68.86	16
69.12	13
70.40	13
79.10	22

Structure:
Lattice parameters (Å, degrees): 13.7106 13.7106 4.7222 90.00 90.00 168.19
Positions (direct):
1 Ta 0.2215 0.7785 0.7500
2 Ta 0.7785 0.2215 0.2500
3 Ti 0.3212 0.6788 0.7500
4 Ti 0.3735 0.6265 0.2500
5 Ti 0.4748 0.5252 0.2500
6 Ti 0.5252 0.4748 0.7500
7 Ti 0.6265 0.3735 0.7500
8 Ti 0.6788 0.3212 0.2500
9 In 0.0749 0.9251 0.2500
10 In 0.9251 0.0749 0.7500



Ta2InW2: calculated X-ray diffraction stick pattern (copper Kα), based on the GGA-PBE geometry in Alexandria.
Peak positions follow from Bragg's law for the DFT cell and can differ from measured ones.

The 12 most intense peaks (2θ = 10–80°), by angle:
2θ/deg	I (rel.)
12.71	21
24.28	23
30.39	31
35.82	100
38.79	15
40.13	50
42.49	59
47.87	47
64.19	25
70.03	15
73.82	16
77.13	23

Structure:
Lattice parameters (Å, degrees): 3.8002 3.8002 13.9298 90.00 90.00 90.00
Positions (direct):
1 Ta 0.0000 0.0000 0.1042
2 Ta 0.0000 0.0000 0.8958
3 Ta 0.5000 0.5000 0.3958
4 Ta 0.5000 0.5000 0.6042
5 In 0.0000 0.0000 0.5000
6 In 0.5000 0.5000 0.0000
7 W 0.0000 0.5000 0.2500
8 W 0.0000 0.5000 0.7500
9 W 0.5000 0.0000 0.2500
10 W 0.5000 0.0000 0.7500



YTaIn4: calculated X-ray diffraction stick pattern (copper Kα), based on the GGA-PBE geometry in Alexandria.
Peak positions follow from Bragg's law for the DFT cell and can differ from measured ones.

The 12 most intense peaks (2θ = 10–80°), by angle:
2θ/deg	I (rel.)
18.76	5
21.69	3
30.87	31
36.37	100
38.05	36
44.22	3
54.90	12
58.54	33
64.32	27
73.04	5
76.20	11
77.24	13

Structure:
Lattice parameters (Å, degrees): 5.7934 5.7934 5.7934 60.00 60.00 60.00
Positions (direct):
1 Y 0.0000 0.0000 0.0000
2 Ta 0.2500 0.2500 0.2500
3 In 0.1262 0.6246 0.6246
4 In 0.6246 0.1262 0.6246
5 In 0.6246 0.6246 0.1262
6 In 0.6246 0.6246 0.6246



Tb4In3: calculated X-ray diffraction stick pattern (copper Kα), based on the GGA-PBE geometry in Alexandria.
Peak positions follow from Bragg's law for the DFT cell and can differ from measured ones.

The 12 most intense peaks (2θ = 10–80°), by angle:
2θ/deg	I (rel.)
23.31	2
29.35	2
33.20	100
34.41	1
37.80	1
40.97	1
47.67	17
53.72	2
59.33	32
63.13	1
69.70	10
79.42	12

Structure:
Lattice parameters (Å, degrees): 8.5290 8.5290 8.5290 113.56 113.56 113.56
Positions (direct):
1 Tb 0.0000 0.0000 0.0000
2 Tb 0.0719 0.6222 0.7682
3 Tb 0.2318 0.9281 0.3778
4 Tb 0.3778 0.2318 0.9281
5 Tb 0.5000 0.5000 0.5000
6 Tb 0.6222 0.7682 0.0719
7 Tb 0.7682 0.0719 0.6222
8 Tb 0.9281 0.3778 0.2318
9 In 0.1262 0.2544 0.5285
10 In 0.2544 0.5285 0.1262
11 In 0.4715 0.8738 0.7456
12 In 0.5285 0.1262 0.2544
13 In 0.7456 0.4715 0.8738
14 In 0.8738 0.7456 0.4715